Calculated PXRD pattern
Compound: Li3Fe3O8
Radiation: Cu Kα X-rays
Structure: a crystal structure in the Materials Project, relaxed with PBE+U

Most intense lines, 2θ from 15° to 90°, sorted by position:
Position (°2θ), I/Imax
18.47, 100
21.15, 8
30.57, 7
35.56, 30
36.38, 14
43.08, 32
44.48, 15
57.03, 12
58.74, 6
63.64, 18

Atomic structure:
```
Li3Fe3O8
1.0
5.0402 -2.9673 0.0000
5.0402 2.9673 0.0000
-3.4995 0.0000 4.8048
Li Fe O
3 3 8
direct
0.0000 0.0000 0.0000
0.3781 0.3781 0.1562
0.6219 0.6219 0.8438
0.0000 0.0000 0.5000
0.0000 0.5000 0.5000
0.5000 0.0000 0.5000
0.2063 0.7601 0.7120
0.2337 0.2337 0.7358
0.2399 0.7937 0.2880
0.2500 0.2500 0.3023
0.7500 0.7500 0.6977
0.7601 0.2063 0.7120
0.7663 0.7663 0.2642
0.7937 0.2399 0.2880
```